Entry 1:
Diffraction record for Na2MgV2Cd2O8. The XRD peak list is calculated, not measured: it uses the PBE+U geometry in the Materials Project and Cu Kα.
Neutral-atom scattering factors, no anomalous dispersion.

Structural model:
a b c (Å): 5.863 5.863 7.590
angles (deg): 91.55 91.55 63.82
Fractional positions:
Na1 0.220 0.220 0.238
Na2 0.780 0.780 0.762
Mg1 0.000 0.000 0.500
V1 0.145 0.145 0.789
V2 0.855 0.855 0.211
Cd1 0.500 0.500 0.000
Cd2 0.500 0.500 0.500
O1 0.187 0.744 0.209
O2 0.192 0.192 0.565
O3 0.256 0.813 0.791
O4 0.275 0.275 0.945
O5 0.725 0.725 0.055
O6 0.744 0.187 0.209
O7 0.808 0.808 0.435
O8 0.813 0.256 0.791

Peak list (10 most intense, 2θ from 15° to 90°, low angle first)
- 16.9 deg, I 24
- 17.8 deg, I 32
- 28.8 deg, I 100
- 29.3 deg, I 32
- 30.1 deg, I 17
- 30.6 deg, I 52
- 41.4 deg, I 21
- 42.1 deg, I 23
- 48.0 deg, I 14
- 52.2 deg, I 13



Entry 2:
Diffraction record for Na2MgV2Cd2O8. The XRD peak list is calculated, not measured: it uses the PBE+U geometry in the Materials Project and Cu Kα.
Neutral-atom scattering factors, no anomalous dispersion.

Structural model:
a b c (Å): 6.881 6.083 6.083
angles (deg): 60.15 90.00 90.00
Fractional positions:
Na1 0.218 0.000 0.000
Na2 0.782 0.000 0.000
Mg1 0.500 0.806 0.806
V1 0.000 0.326 0.326
V2 0.500 0.537 0.537
Cd1 0.000 0.637 0.637
Cd2 0.500 0.266 0.266
O1 0.000 0.201 0.653
O2 0.000 0.653 0.201
O3 0.198 0.219 0.219
O4 0.302 0.669 0.669
O5 0.500 0.172 0.685
O6 0.500 0.685 0.172
O7 0.698 0.669 0.669
O8 0.802 0.219 0.219

Peak list (10 most intense, 2θ from 15° to 90°, low angle first)
- 16.8 deg, I 47
- 21.2 deg, I 38
- 25.9 deg, I 44
- 29.3 deg, I 100
- 31.0 deg, I 44
- 32.2 deg, I 30
- 34.0 deg, I 22
- 36.5 deg, I 29
- 39.5 deg, I 28
- 47.5 deg, I 25